Entry 1:
The following is a theoretical powder X-ray diffraction pattern of KCdBr2. It was derived from a PBE-relaxed structure, using Cu Ka.
Intensities are scaled so that the largest is 100.

a = 4.4473 Å, b = 7.3992 Å, c = 7.3992 Å
α = 33.68°, β = 90.00°, γ = 90.00°
Positions (direct):
1 K 0.0000 0.0000 0.0000
2 Cd 0.5000 0.7714 0.7714
3 Br 0.0000 0.2992 0.2992
4 Br 0.5000 0.5708 0.5708

Main lines, by angle (5° ≤ 2θ ≤ 70°):
2theta, I/Imax
12.50, 23.2
25.15, 46.3
29.62, 100.0
34.72, 39.4
38.09, 18.2
40.57, 18.5
42.15, 16.5
43.37, 45.2
48.33, 14.9
49.72, 13.6



Entry 2:
The following is a theoretical powder X-ray diffraction pattern of KCd5Br11. It was derived from a PBE-relaxed structure, using Cu Ka.
Intensities are scaled so that the largest is 100.

a = 9.1421 Å, b = 9.1421 Å, c = 8.1809 Å
α = 103.59°, β = 103.59°, γ = 109.85°
Positions (direct):
1 K 0.0000 0.0000 0.0000
2 Cd 0.0812 0.3681 0.6296
3 Cd 0.3681 0.0812 0.6296
4 Cd 0.5000 0.5000 0.0000
5 Cd 0.6319 0.9188 0.3704
6 Cd 0.9188 0.6319 0.3704
7 Br 0.0000 0.0000 0.5000
8 Br 0.1278 0.7039 0.6893
9 Br 0.1678 0.4175 0.9760
10 Br 0.2961 0.8722 0.3107
11 Br 0.3900 0.3900 0.6178
12 Br 0.4175 0.1678 0.9760
13 Br 0.5825 0.8322 0.0240
14 Br 0.6100 0.6100 0.3822
15 Br 0.7039 0.1278 0.6893
16 Br 0.8322 0.5825 0.0240
17 Br 0.8722 0.2961 0.3107

Main lines, by angle (5° ≤ 2θ ≤ 70°):
2theta, I/Imax
13.09, 100.0
26.68, 23.2
29.63, 20.8
30.30, 71.9
31.21, 75.4
36.07, 35.0
41.16, 18.3
43.64, 21.7
44.06, 21.4
48.01, 21.4